Record 1
Diffraction record for BaHfInSbO6. The powder XRD pattern is simulated, not measured: it uses a structure optimized by DFT (GGA-PBE) and Cu Kα (weighted mean of Kα1 and Kα2).
Kinematic intensities with the Lorentz-polarization factor, no thermal factor.

Atomic structure:
Cell: 5.8507 5.8507 5.8507 Å, 60.00 60.00 60.00°
Atoms (fractional coordinates):
Ba (0.0000, 0.0000, 0.0000)
Hf (0.2500, 0.2500, 0.2500)
In (0.5000, 0.5000, 0.5000)
Sb (0.7500, 0.7500, 0.7500)
O (0.5045, 0.5045, 0.9955)
O (0.5045, 0.9955, 0.5045)
O (0.5045, 0.9955, 0.9955)
O (0.9955, 0.5045, 0.5045)
O (0.9955, 0.5045, 0.9955)
O (0.9955, 0.9955, 0.5045)

Principal peaks in the range 10° ≤ 2θ ≤ 80°, low angle first:
2θ = 18.57°, intensity 2
2θ = 21.48°, intensity 3
2θ = 30.56°, intensity 100
2θ = 36.00°, intensity 2
2θ = 43.76°, intensity 29
2θ = 47.92°, intensity 1
2θ = 49.25°, intensity 1
2θ = 54.32°, intensity 40
2θ = 63.61°, intensity 18
2θ = 72.21°, intensity 17

---

Record 2
Diffraction record for BaHfTiInO6. The powder XRD pattern is simulated, not measured: it uses a structure optimized by DFT (GGA-PBE) and Cu Kα (weighted mean of Kα1 and Kα2).
Kinematic intensities with the Lorentz-polarization factor, no thermal factor.

Atomic structure:
Cell: 5.7575 5.7575 5.7575 Å, 60.00 60.00 60.00°
Atoms (fractional coordinates):
Ba (0.0000, 0.0000, 0.0000)
Hf (0.7500, 0.7500, 0.7500)
Ti (0.2500, 0.2500, 0.2500)
In (0.5000, 0.5000, 0.5000)
O (0.0060, 0.0060, 0.4940)
O (0.0060, 0.4940, 0.0060)
O (0.0060, 0.4940, 0.4940)
O (0.4940, 0.0060, 0.0060)
O (0.4940, 0.0060, 0.4940)
O (0.4940, 0.4940, 0.0060)

Principal peaks in the range 10° ≤ 2θ ≤ 80°, low angle first:
2θ = 18.88°, intensity 17
2θ = 31.07°, intensity 100
2θ = 36.60°, intensity 11
2θ = 44.51°, intensity 30
2θ = 48.75°, intensity 6
2θ = 55.27°, intensity 39
2θ = 58.94°, intensity 4
2θ = 64.77°, intensity 19
2θ = 68.13°, intensity 4
2θ = 73.57°, intensity 17

---

Record 3
Diffraction record for BaHfMg2. The powder XRD pattern is simulated, not measured: it uses a structure optimized by DFT (GGA-PBE) and Cu Kα (weighted mean of Kα1 and Kα2).
Kinematic intensities with the Lorentz-polarization factor, no thermal factor.

Atomic structure:
Cell: 7.7473 7.7473 7.7473 Å, 90.00 90.00 90.00°
Atoms (fractional coordinates):
Ba (0.0000, 0.0000, 0.0000)
Ba (0.0000, 0.5000, 0.5000)
Ba (0.5000, 0.0000, 0.5000)
Ba (0.5000, 0.5000, 0.0000)
Hf (0.2500, 0.2500, 0.7500)
Hf (0.2500, 0.7500, 0.2500)
Hf (0.7500, 0.2500, 0.2500)
Hf (0.7500, 0.7500, 0.7500)
Mg (0.0000, 0.0000, 0.5000)
Mg (0.0000, 0.5000, 0.0000)
Mg (0.2500, 0.2500, 0.2500)
Mg (0.2500, 0.7500, 0.7500)
Mg (0.5000, 0.0000, 0.0000)
Mg (0.5000, 0.5000, 0.5000)
Mg (0.7500, 0.2500, 0.7500)
Mg (0.7500, 0.7500, 0.2500)

Principal peaks in the range 10° ≤ 2θ ≤ 80°, low angle first:
2θ = 19.85°, intensity 59
2θ = 32.69°, intensity 100
2θ = 38.54°, intensity 33
2θ = 46.91°, intensity 18
2θ = 51.41°, intensity 15
2θ = 58.35°, intensity 38
2θ = 62.27°, intensity 11
2θ = 68.51°, intensity 12
2θ = 72.13°, intensity 11
2θ = 78.00°, intensity 16

---

Record 4
Diffraction record for BaHfMg14. The powder XRD pattern is simulated, not measured: it uses a structure optimized by DFT (GGA-PBE) and Cu Kα (weighted mean of Kα1 and Kα2).
Kinematic intensities with the Lorentz-polarization factor, no thermal factor.

Atomic structure:
Cell: 6.6508 6.6508 10.3637 Å, 90.00 90.00 120.00°
Atoms (fractional coordinates):
Ba (0.0000, 0.0000, 0.0000)
Hf (0.0000, 0.0000, 0.5000)
Mg (0.0143, 0.5071, 0.0000)
Mg (0.1706, 0.3413, 0.2660)
Mg (0.1706, 0.3413, 0.7340)
Mg (0.1706, 0.8294, 0.2660)
Mg (0.1706, 0.8294, 0.7340)
Mg (0.4929, 0.5071, 0.0000)
Mg (0.4929, 0.9857, 0.0000)
Mg (0.5007, 0.0013, 0.5000)
Mg (0.5007, 0.4993, 0.5000)
Mg (0.6587, 0.8294, 0.2660)
Mg (0.6587, 0.8294, 0.7340)
Mg (0.6667, 0.3333, 0.2461)
Mg (0.6667, 0.3333, 0.7539)
Mg (0.9987, 0.4993, 0.5000)

Principal peaks in the range 10° ≤ 2θ ≤ 80°, low angle first:
2θ = 15.38°, intensity 69
2θ = 17.11°, intensity 19
2θ = 23.09°, intensity 59
2θ = 26.81°, intensity 20
2θ = 31.05°, intensity 34
2θ = 31.98°, intensity 25
2θ = 34.62°, intensity 22
2θ = 35.67°, intensity 100
2θ = 47.19°, intensity 21
2θ = 66.86°, intensity 19